The following is a theoretical X-ray diffraction stick pattern of HoSc4S5. It was derived from DFT lattice parameters and positions (PBE), using CuKα.
Lines closer than 0.1° are merged.

Peak list (10 most intense, 10 to 90 degrees two-theta, by angle)
17.4 deg, I = 17; 22.1 deg, I = 10; 29.3 deg, I = 23; 33.9 deg, I = 100; 48.8 deg, I = 55; 48.8 deg, I = 11; 57.9 deg, I = 11; 60.7 deg, I = 22; 71.4 deg, I = 10; 81.5 deg, I = 23

Atomic structure:
```
10
Lattice="-1.865 2.641 9.344 1.865 -2.641 9.344 1.865 2.641 -9.344" Properties=species:S:1:pos:R:3 pbc="T T T"
Ho 0.000 0.000 0.000
Sc 0.000 0.000 3.786
Sc 0.000 0.000 7.463
Sc 0.000 0.000 11.226
Sc 0.000 0.000 14.903
S 1.865 0.000 1.971
S 1.865 0.000 5.620
S 0.000 2.641 0.000
S 0.000 2.641 3.724
S 0.000 2.641 7.373
```

***

The following is a theoretical X-ray diffraction stick pattern of Ho4ScS4. It was derived from DFT lattice parameters and positions (PBE), using CuKα.
Lines closer than 0.1° are merged.

Peak list (10 most intense, 10 to 90 degrees two-theta, by angle)
28.6 deg, I = 33; 28.8 deg, I = 100; 33.2 deg, I = 98; 33.5 deg, I = 48; 47.6 deg, I = 17; 47.7 deg, I = 52; 48.0 deg, I = 34; 56.7 deg, I = 32; 59.5 deg, I = 18; 79.4 deg, I = 15

Atomic structure:
```
9
Lattice="6.340 -1.906 0.000 6.340 1.906 0.000 -4.636 0.000 8.066" Properties=species:S:1:pos:R:3 pbc="T T T"
Ho -0.604 0.000 3.233
Ho 2.882 0.000 1.654
Ho 5.162 0.000 6.411
Ho 8.648 0.000 4.833
Sc 6.340 0.000 0.000
S -2.960 0.000 7.321
S 0.606 0.000 5.679
S 7.438 0.000 2.387
S 11.004 0.000 0.744
```

***

The following is a theoretical X-ray diffraction stick pattern of Ho2ScS4. It was derived from DFT lattice parameters and positions (PBE), using CuKα.
Lines closer than 0.1° are merged.

Peak list (10 most intense, 10 to 90 degrees two-theta, by angle)
13.8 deg, I = 74; 26.5 deg, I = 100; 27.7 deg, I = 28; 32.1 deg, I = 70; 35.1 deg, I = 19; 42.2 deg, I = 41; 46.1 deg, I = 73; 48.3 deg, I = 20; 64.2 deg, I = 23; 85.4 deg, I = 24

Atomic structure:
```
14
Lattice="-3.936 3.936 5.575 3.936 -3.936 5.575 3.936 3.936 -5.575" Properties=species:S:1:pos:R:3 pbc="T T T"
Ho 0.000 0.000 0.000
Ho 1.968 1.968 -2.787
Ho 1.968 -1.968 2.787
Ho 0.000 3.936 0.000
Sc 3.936 1.968 1.394
Sc 0.000 1.968 4.181
S 3.936 3.874 -2.835
S 1.906 1.968 -0.048
S 2.030 -1.968 5.527
S 3.936 -0.062 2.835
S 0.000 3.998 2.739
S 1.906 5.904 0.048
S 2.030 1.968 5.623
S 0.000 0.062 8.410
```

***

The following is a theoretical X-ray diffraction stick pattern of Ho2Sc2Se2S3. It was derived from DFT lattice parameters and positions (PBE), using CuKα.
Lines closer than 0.1° are merged.

Peak list (10 most intense, 10 to 90 degrees two-theta, by angle)
23.9 deg, I = 52; 26.2 deg, I = 47; 31.4 deg, I = 100; 33.2 deg, I = 34; 37.4 deg, I = 65; 44.9 deg, I = 20; 49.2 deg, I = 22; 49.6 deg, I = 55; 53.9 deg, I = 22; 76.3 deg, I = 15

Atomic structure:
```
9
Lattice="-2.404 2.404 8.838 2.404 -2.404 8.838 2.404 2.404 -8.838" Properties=species:S:1:pos:R:3 pbc="T T T"
Ho 0.000 0.000 3.208
Ho 0.000 0.000 14.469
Sc 2.404 0.000 0.000
Sc 0.000 2.404 0.000
Se 0.000 0.000 7.128
Se 0.000 0.000 10.549
S 0.000 0.000 0.000
S 2.404 0.000 4.419
S 0.000 2.404 4.419
```

***

The following is a theoretical X-ray diffraction stick pattern of SmHo2ScS4. It was derived from DFT lattice parameters and positions (PBE), using CuKα.
Lines closer than 0.1° are merged.

Peak list (10 most intense, 10 to 90 degrees two-theta, by angle)
27.9 deg, I = 17; 28.2 deg, I = 17; 28.4 deg, I = 33; 32.7 deg, I = 100; 46.5 deg, I = 12; 46.7 deg, I = 24; 47.1 deg, I = 23; 47.3 deg, I = 12; 58.7 deg, I = 12; 68.5 deg, I = 11

Atomic structure:
```
8
Lattice="6.701 0.000 0.000 0.000 3.843 0.000 -2.210 0.000 6.397" Properties=species:S:1:pos:R:3 pbc="T T T"
Sm 0.000 0.000 0.000
Ho 2.245 0.000 3.199
Ho 3.351 1.921 0.000
Sc -1.105 1.921 3.199
S 0.010 0.000 4.718
S 1.117 1.921 1.677
S 3.374 1.921 4.721
S 4.480 0.000 1.680
```

***

The following is a theoretical X-ray diffraction stick pattern of Ho4Se2S. It was derived from DFT lattice parameters and positions (PBE), using CuKα.
Lines closer than 0.1° are merged.

Peak list (10 most intense, 10 to 90 degrees two-theta, by angle)
27.6 deg, I = 57; 32.0 deg, I = 100; 45.9 deg, I = 61; 46.0 deg, I = 12; 54.4 deg, I = 27; 57.0 deg, I = 13; 57.1 deg, I = 13; 76.1 deg, I = 16; 84.8 deg, I = 12; 85.0 deg, I = 12

Atomic structure:
```
7
Lattice="3.949 -5.595 0.000 3.949 5.595 0.000 0.000 0.000 3.962" Properties=species:S:1:pos:R:3 pbc="T T T"
Ho 3.949 2.876 0.000
Ho 1.936 0.000 1.981
Ho 5.962 0.000 1.981
Ho 3.949 -2.876 0.000
Se 1.975 2.797 1.981
Se 1.975 -2.797 1.981
S 0.000 0.000 0.000
```

***

The following is a theoretical X-ray diffraction stick pattern of Ho5SeS5. It was derived from DFT lattice parameters and positions (PBE), using CuKα.
Lines closer than 0.1° are merged.

Peak list (10 most intense, 10 to 90 degrees two-theta, by angle)
11.9 deg, I = 13; 17.7 deg, I = 18; 27.9 deg, I = 81; 32.3 deg, I = 50; 32.4 deg, I = 100; 46.4 deg, I = 71; 46.5 deg, I = 36; 55.1 deg, I = 20; 57.7 deg, I = 37; 86.2 deg, I = 18

Atomic structure:
```
11
Lattice="6.173 -2.765 0.000 6.173 2.765 0.000 -2.445 0.000 7.438" Properties=species:S:1:pos:R:3 pbc="T T T"
Ho 0.000 0.000 0.000
Ho 2.493 0.000 4.879
Ho 3.719 0.000 1.333
Ho 6.183 0.000 6.105
Ho 7.409 0.000 2.560
Se 6.173 0.000 0.000
S 1.229 0.000 2.472
S 0.064 0.000 6.249
S 4.951 0.000 3.719
S 9.837 0.000 1.189
S 8.673 0.000 4.966
```

***

The following is a theoretical X-ray diffraction stick pattern of Ho3Se2S. It was derived from DFT lattice parameters and positions (PBE), using CuKα.
Lines closer than 0.1° are merged.

Peak list (10 most intense, 10 to 90 degrees two-theta, by angle)
26.4 deg, I = 68; 27.5 deg, I = 40; 29.3 deg, I = 23; 31.5 deg, I = 100; 34.3 deg, I = 76; 40.8 deg, I = 49; 44.5 deg, I = 37; 45.9 deg, I = 80; 53.8 deg, I = 27; 73.8 deg, I = 39

Atomic structure:
```
12
Lattice="3.951 0.000 0.000 -1.975 3.421 0.000 0.000 0.000 20.292" Properties=species:S:1:pos:R:3 pbc="T T T"
Ho 0.000 0.000 0.000
Ho 0.000 0.000 10.146
Ho 0.000 2.281 3.378
Ho 0.000 2.281 6.768
Ho 1.975 1.140 13.524
Ho 1.975 1.140 16.914
Se 0.000 2.281 11.853
Se 0.000 2.281 18.586
Se 1.975 1.140 1.707
Se 1.975 1.140 8.440
S 0.000 0.000 5.073
S 0.000 0.000 15.219
```

***

The following is a theoretical X-ray diffraction stick pattern of Sm2Ho2Se3S2. It was derived from DFT lattice parameters and positions (PBE), using CuKα.
Lines closer than 0.1° are merged.

Peak list (10 most intense, 10 to 90 degrees two-theta, by angle)
24.9 deg, I = 51; 25.7 deg, I = 43; 32.0 deg, I = 100; 33.8 deg, I = 16; 35.2 deg, I = 32; 41.0 deg, I = 55; 45.9 deg, I = 36; 48.3 deg, I = 26; 52.9 deg, I = 26; 76.1 deg, I = 16

Atomic structure:
```
9
Lattice="-2.797 2.797 7.157 2.797 -2.797 7.157 2.797 2.797 -7.157" Properties=species:S:1:pos:R:3 pbc="T T T"
Sm 0.000 0.000 3.029
Sm 0.000 0.000 11.284
Ho 2.797 0.000 0.000
Ho 0.000 2.797 0.000
Se 0.000 0.000 0.000
Se 2.797 0.000 3.578
Se 0.000 2.797 3.578
S 0.000 0.000 5.758
S 0.000 0.000 8.555
```

***

The following is a theoretical X-ray diffraction stick pattern of Tb2Ho2Se2S3. It was derived from DFT lattice parameters and positions (PBE), using CuKα.
Lines closer than 0.1° are merged.

Peak list (10 most intense, 10 to 90 degrees two-theta, by angle)
24.4 deg, I = 23; 26.6 deg, I = 86; 33.6 deg, I = 100; 34.2 deg, I = 35; 35.0 deg, I = 57; 42.0 deg, I = 21; 48.3 deg, I = 36; 49.3 deg, I = 43; 56.0 deg, I = 39; 77.0 deg, I = 17

Atomic structure:
```
9
Lattice="-2.665 2.665 7.308 2.665 -2.665 7.308 2.665 2.665 -7.308" Properties=species:S:1:pos:R:3 pbc="T T T"
Tb 0.000 0.000 2.950
Tb 0.000 0.000 11.666
Ho 2.665 0.000 0.000
Ho 0.000 2.665 0.000
Se 0.000 0.000 5.805
Se 0.000 0.000 8.811
S 0.000 0.000 0.000
S 2.665 0.000 3.654
S 0.000 2.665 3.654
```

***

The following is a theoretical X-ray diffraction stick pattern of Ho2Tm2Se3S2. It was derived from DFT lattice parameters and positions (PBE), using CuKα.
Lines closer than 0.1° are merged.

Peak list (10 most intense, 10 to 90 degrees two-theta, by angle)
25.5 deg, I = 50; 26.2 deg, I = 48; 32.6 deg, I = 100; 36.1 deg, I = 33; 41.8 deg, I = 54; 46.7 deg, I = 36; 49.4 deg, I = 26; 54.0 deg, I = 26; 77.7 deg, I = 16; 83.3 deg, I = 15

Atomic structure:
```
9
Lattice="-2.749 2.749 6.982 2.749 -2.749 6.982 2.749 2.749 -6.982" Properties=species:S:1:pos:R:3 pbc="T T T"
Ho 0.000 0.000 2.957
Ho 0.000 0.000 11.007
Tm 2.749 0.000 0.000
Tm 0.000 2.749 0.000
Se 0.000 0.000 0.000
Se 2.749 0.000 3.491
Se 0.000 2.749 3.491
S 0.000 0.000 5.599
S 0.000 0.000 8.365
```

***

The following is a theoretical X-ray diffraction stick pattern of Ho2Tm2Se2S3. It was derived from DFT lattice parameters and positions (PBE), using CuKα.
Lines closer than 0.1° are merged.

Peak list (10 most intense, 10 to 90 degrees two-theta, by angle)
24.5 deg, I = 24; 26.9 deg, I = 90; 34.0 deg, I = 100; 34.5 deg, I = 35; 35.3 deg, I = 57; 42.4 deg, I = 22; 48.8 deg, I = 36; 49.8 deg, I = 42; 56.4 deg, I = 16; 56.6 deg, I = 24

Atomic structure:
```
9
Lattice="-2.637 2.637 7.262 2.637 -2.637 7.262 2.637 2.637 -7.262" Properties=species:S:1:pos:R:3 pbc="T T T"
Ho 0.000 0.000 2.928
Ho 0.000 0.000 11.595
Tm 2.637 0.000 0.000
Tm 0.000 2.637 0.000
Se 0.000 0.000 5.764
Se 0.000 0.000 8.760
S 0.000 0.000 0.000
S 2.637 0.000 3.631
S 0.000 2.637 3.631
```

***

The following is a theoretical X-ray diffraction stick pattern of HoSiS4. It was derived from DFT lattice parameters and positions (PBE), using CuKα.
Lines closer than 0.1° are merged.

Peak list (10 most intense, 10 to 90 degrees two-theta, by angle)
17.1 deg, I = 58; 17.9 deg, I = 55; 18.4 deg, I = 93; 20.3 deg, I = 100; 31.4 deg, I = 66; 32.6 deg, I = 54; 34.1 deg, I = 42; 38.7 deg, I = 29; 40.8 deg, I = 35; 43.2 deg, I = 32

Atomic structure:
```
12
Lattice="5.512 0.000 0.000 0.000 8.761 0.000 -2.217 0.000 6.016" Properties=species:S:1:pos:R:3 pbc="T T T"
Ho 0.234 2.190 0.879
Ho 3.061 6.571 5.136
Si 0.801 6.571 2.601
Si 2.493 2.190 3.415
S 0.008 4.984 1.405
S 0.008 8.158 1.405
S 0.398 2.190 3.634
S 0.336 6.571 4.673
S 2.959 2.190 1.342
S 2.897 6.571 2.382
S 3.287 0.603 4.611
S 3.287 3.777 4.611
```

***

The following is a theoretical X-ray diffraction stick pattern of Ho3SiS6. It was derived from DFT lattice parameters and positions (PBE), using CuKα.
Lines closer than 0.1° are merged.

Peak list (10 most intense, 10 to 90 degrees two-theta, by angle)
17.5 deg, I = 35; 19.3 deg, I = 22; 25.7 deg, I = 100; 26.0 deg, I = 92; 35.0 deg, I = 20; 35.5 deg, I = 36; 38.5 deg, I = 51; 39.2 deg, I = 34; 42.9 deg, I = 42; 49.8 deg, I = 24

Atomic structure:
```
20
Lattice="5.306 -6.572 0.000 5.306 6.572 0.000 0.000 0.000 6.416" Properties=species:S:1:pos:R:3 pbc="T T T"
Ho 5.306 5.346 3.208
Ho 3.372 1.251 3.831
Ho 3.372 -1.251 0.623
Ho 7.240 1.251 3.831
Ho 7.240 -1.251 0.623
Ho 5.306 -5.346 0.000
Si 5.306 2.659 0.902
Si 5.306 -2.659 4.110
S 3.592 3.491 1.946
S 1.720 0.462 1.917
S 1.720 -0.462 5.125
S 5.306 2.788 5.150
S 7.019 3.491 1.946
S 5.306 0.599 1.684
S 5.306 -0.599 4.892
S 3.592 -3.491 5.154
S 5.306 -2.788 1.942
S 8.891 0.462 1.917
S 8.891 -0.462 5.125
S 7.019 -3.491 5.154
```